Calculated powder diffraction line list of ScPdAu5 for Cu Kα (λ = 1.5418 Å), from a crystal structure in Alexandria, relaxed with PBE.

Principal peaks in the range 10 to 90 degrees two-theta, low angle first:
2θ/deg  intensity
12.27  35
24.69  29
34.72  18
36.60  72
37.41  37
39.08  100
39.34  17
39.61  63
41.16  18
45.43  28
48.26  30
64.69  21

Cell: 7.6004 7.6004 7.8050 Å, 94.55 94.55 143.16°
Sites, in units of the cell vectors:
Sc: 0.0000 0.0000 0.0000
Sc: 0.0000 0.0000 0.5000
Pd: 0.4874 0.5126 0.7500
Pd: 0.5126 0.4874 0.2500
Au: 0.0151 0.3753 0.6498
Au: 0.1386 0.8614 0.7500
Au: 0.2540 0.5465 0.0376
Au: 0.3753 0.0151 0.1498
Au: 0.4535 0.7460 0.4624
Au: 0.5465 0.2540 0.5376
Au: 0.6247 0.9849 0.8502
Au: 0.7460 0.4535 0.9624
Au: 0.8614 0.1386 0.2500
Au: 0.9849 0.6247 0.3502



Calculated powder diffraction line list of NdP2Pt7Pb2 for Cu Kα (λ = 1.5418 Å), from a crystal structure in Alexandria, relaxed with PBE.

Principal peaks in the range 10 to 90 degrees two-theta, low angle first:
2θ/deg  intensity
23.38  28
29.35  29
32.04  53
33.67  50
36.24  100
39.57  27
43.58  40
45.12  70
48.09  22
63.00  22
65.72  23
77.43  23

Cell: 15.4794 15.4794 15.4794 Å, 165.08 165.08 21.16°
Sites, in units of the cell vectors:
Nd: 0.0000 0.0000 0.0000
P: 0.3831 0.3831 0.0000
P: 0.6169 0.6169 0.0000
Pt: 0.0750 0.5750 0.5000
Pt: 0.3084 0.3084 0.0000
Pt: 0.4250 0.9250 0.5000
Pt: 0.5000 0.5000 0.0000
Pt: 0.5750 0.0750 0.5000
Pt: 0.6916 0.6916 0.0000
Pt: 0.9250 0.4250 0.5000
Pb: 0.2115 0.2115 0.0000
Pb: 0.7885 0.7885 0.0000